Entry 1:
The following is a theoretical powder diffractogram of Y2Cu2O5. It was derived from the GGA-PBE geometry in Alexandria, using CuKα.
Lines closer than 0.1° are merged.

Most intense lines, 10° ≤ 2θ ≤ 80°, in order of rising 2θ:
index	2theta	d/Å	I_rel
2 1 0	29.5	3.024	345
1 1 2	29.7	3.009	672
0 4 0	31.8	2.812	477
2 2 0	32.7	2.741	556
1 2 2	32.8	2.730	1000
1 5 2	49.9	1.826	190
3 0 2	50.4	1.809	492
0 0 4	50.7	1.800	223
2 6 0	57.3	1.608	300
3 4 2	60.9	1.521	305

Atomic structure:
Cell lengths 6.278, 11.246, 7.201 Å; angles 90.00, 90.00, 90.00 degrees
Atoms (fractional coordinates):
Y 0.250 0.020 0.120
Y 0.250 0.480 0.120
Y 0.250 0.520 0.620
Y 0.250 0.980 0.620
Y 0.750 0.020 0.380
Y 0.750 0.480 0.380
Y 0.750 0.520 0.880
Y 0.750 0.980 0.880
Cu 0.070 0.250 0.345
Cu 0.089 0.250 0.874
Cu 0.411 0.750 0.374
Cu 0.430 0.750 0.845
Cu 0.570 0.250 0.155
Cu 0.589 0.250 0.626
Cu 0.911 0.750 0.126
Cu 0.930 0.750 0.655
O 0.071 0.086 0.858
O 0.071 0.414 0.858
O 0.095 0.088 0.385
O 0.095 0.412 0.385
O 0.244 0.750 0.620
O 0.256 0.250 0.120
O 0.405 0.588 0.885
O 0.405 0.912 0.885
O 0.429 0.586 0.358
O 0.429 0.914 0.358
O 0.571 0.086 0.642
O 0.571 0.414 0.642
O 0.595 0.088 0.115
O 0.595 0.412 0.115
O 0.744 0.750 0.880
O 0.756 0.250 0.380
O 0.905 0.588 0.615
O 0.905 0.912 0.615
O 0.929 0.586 0.142
O 0.929 0.914 0.142

Entry 2:
The following is a theoretical powder diffractogram of Al2ReAs. It was derived from the GGA-PBE geometry in Alexandria, using CuKα.
Lines closer than 0.1° are merged.

Most intense lines, 10° ≤ 2θ ≤ 80°, in order of rising 2θ:
index	2theta	d/Å	I_rel
0 0 1	11.2	7.929	1000
0 0 2	22.4	3.964	670
0 1 0	30.3	2.954	299
1 0 1	33.1	2.709	681
0 1 2	38.0	2.369	726
1 1 1	45.4	1.997	701
1 0 3	46.6	1.948	384
1 1 3	56.6	1.626	242
1 2 1	73.0	1.297	189
1 1 5	75.6	1.257	201

Atomic structure:
Cell lengths 2.883, 2.954, 7.929 Å; angles 90.00, 90.00, 90.00 degrees
Atoms (fractional coordinates):
Al 0.000 0.000 0.208
Al 0.000 0.000 0.792
Re 0.500 0.500 0.000
As 0.000 0.500 0.500